Calculated powder X-ray diffraction pattern of Ba2P2HPd2 for a wavelength of 1.5418 Å, from a PBE-relaxed structure.
Kinematic intensities with the Lorentz-polarization factor, no thermal factor.

Crystal structure
Cell: 6.181 6.181 7.491 Å, 122.00 122.00 40.01°
Fractional positions:
Ba  0.052  0.052  0.310
Ba  0.948  0.948  0.690
P  0.302  0.302  0.237
P  0.698  0.698  0.763
H  0.500  0.500  0.000
Pd  0.308  0.308  0.912
Pd  0.692  0.692  0.088

Largest 6 diffraction maxima, sorted by position, 2θ = 10–90°:
2θ (°)  I/Imax
29.30  59
31.35  67
31.81  50
32.69  100
35.19  68
42.77  42



Calculated powder X-ray diffraction pattern of Ba2P2HRh2 for a wavelength of 1.5418 Å, from a PBE-relaxed structure.
Kinematic intensities with the Lorentz-polarization factor, no thermal factor.

Crystal structure
Cell: 6.153 6.153 7.442 Å, 122.17 122.17 39.24°
Fractional positions:
Ba  0.055  0.055  0.315
Ba  0.945  0.945  0.685
P  0.294  0.294  0.235
P  0.706  0.706  0.765
H  0.500  0.500  0.000
Rh  0.301  0.301  0.925
Rh  0.699  0.699  0.075

Largest 6 diffraction maxima, sorted by position, 2θ = 10–90°:
2θ (°)  I/Imax
29.46  70
31.73  70
31.90  45
33.17  100
35.57  61
43.82  39